Record 1
Starting from a crystal structure in Alexandria, relaxed with PBE, the powder XRD pattern of SmTlP2Se6 was calculated for Cu Kα.

Structure:
abc: 6.8852 7.7261 10.5173
angles: 90.00 91.64 90.00
Fractional coordinates of all 20 atoms:
1 Sm 0.2142 0.0000 0.0026
2 Sm 0.7858 0.5000 0.9974
3 Tl 0.3145 0.2171 0.5058
4 Tl 0.6855 0.7171 0.4942
5 P 0.1946 0.7263 0.2913
6 P 0.3160 0.5089 0.1726
7 P 0.6840 0.0089 0.8274
8 P 0.8054 0.2263 0.7087
9 Se 0.0661 0.3064 0.8284
10 Se 0.0796 0.3108 0.1704
11 Se 0.1576 0.6318 0.4820
12 Se 0.3661 0.6306 0.9821
13 Se 0.4049 0.9361 0.2673
14 Se 0.4062 0.9144 0.7469
15 Se 0.5938 0.4144 0.2531
16 Se 0.5951 0.4361 0.7327
17 Se 0.6339 0.1306 0.0179
18 Se 0.8424 0.1318 0.5180
19 Se 0.9204 0.8108 0.8296
20 Se 0.9339 0.8064 0.1716

Largest 6 diffraction maxima, low angle first, 2θ = 15–90°:
d 3.628, intensity 100.0
d 3.113, intensity 99.3
d 2.990, intensity 83.9
d 2.922, intensity 93.6
d 2.628, intensity 61.6
d 2.596, intensity 61.6

Record 2
Starting from a crystal structure in Alexandria, relaxed with PBE, the powder XRD pattern of HoIn6Hg was calculated for Cu Kα.

Structure:
abc: 6.6708 6.6708 4.6520
angles: 90.00 90.00 90.11
Fractional coordinates of all 8 atoms:
1 Ho 0.0000 0.0000 0.0000
2 In 0.0000 0.5000 0.0000
3 In 0.2508 0.2508 0.5000
4 In 0.2505 0.7495 0.5000
5 In 0.5000 0.0000 0.0000
6 In 0.7495 0.2505 0.5000
7 In 0.7492 0.7492 0.5000
8 Hg 0.5000 0.5000 0.0000

Largest 6 diffraction maxima, low angle first, 2θ = 15–90°:
d 2.711, intensity 100.0
d 2.358, intensity 33.8
d 2.326, intensity 16.2
d 1.656, intensity 22.4
d 1.421, intensity 13.3
d 1.419, intensity 13.3